(1)
Computed XRD peak list
Compound: ThScAl2Au2
Radiation: Cu Kα
Structure: a structure optimized by DFT (PBE)
Lines closer than 0.1° are merged.

Cell and atoms:
```
data_ThScAl2Au2
_chemical_formula_sum 'Th1 Sc1 Al2 Au2'
_cell_length_a 4.4844
_cell_length_b 4.4844
_cell_length_c 7.2129
_cell_angle_alpha 90.00
_cell_angle_beta 90.00
_cell_angle_gamma 120.00
_space_group_name_H-M_alt 'P -3 m 1'
_space_group_IT_number 164
_space_group_name_Hall '-P 3 2"'
loop_
_atom_site_label
_atom_site_type_symbol
_atom_site_fract_x
_atom_site_fract_y
_atom_site_fract_z
Th1 Th 0.0000 0.0000 0.0000
Sc1 Sc 0.0000 0.0000 0.5000
Al1 Al 0.3333 0.6667 0.7102
Au1 Au 0.3333 0.6667 0.2891
```

The 12 most intense peaks (2θ = 15–90°), in order of rising 2θ:
d/Å  2theta  I/Imax  h k l
3.419  26.1  100  0 1 1
2.643  33.9  90  1 0 2
2.404  37.4  11  0 0 3
2.242  40.2  62  1 1 0
2.044  44.3  9  1 0 3
1.875  48.6  20  2 0 1
1.710  53.6  25  0 2 2
1.640  56.1  22  1 1 3
1.438  64.8  17  1 2 1
1.405  66.5  15  1 1 4
1.360  69.1  23  2 1 2
1.295  73.1  11  3 0 0

(2)
Computed XRD peak list
Compound: PrZnPt
Radiation: Cu Kα
Structure: a structure optimized by DFT (PBE)
Lines closer than 0.1° are merged.

Cell and atoms:
```
data_PrZnPt
_chemical_formula_sum 'Pr4 Zn4 Pt4'
_cell_length_a 10.4251
_cell_length_b 4.3173
_cell_length_c 7.2487
_cell_angle_alpha 90.00
_cell_angle_beta 127.14
_cell_angle_gamma 90.00
_space_group_name_H-M_alt 'C 1 2/m 1'
_space_group_IT_number 12
loop_
_space_group_symop_operation_xyz
'x,y,z'
'-x,-y,-z'
'-x,y,-z'
'x,-y,z'
'x+1/2,y+1/2,z'
'-x+1/2,-y+1/2,-z'
'-x+1/2,y+1/2,-z'
'x+1/2,-y+1/2,z'
loop_
_atom_site_label
_atom_site_type_symbol
_atom_site_fract_x
_atom_site_fract_y
_atom_site_fract_z
Pr1 Pr 0.0531 0.0000 0.3056
Zn1 Zn 0.1722 0.5000 0.0872
Pt1 Pt 0.1635 0.5000 0.6969
```

The 12 most intense peaks (2θ = 15–90°), in order of rising 2θ:
d/Å  2theta  I/Imax  h k l
5.159  17.2  26  2 0 -1
3.703  24.0  44  1 1 -1
2.889  30.9  40  0 0 2
2.849  31.4  65  1 1 1
2.696  33.2  68  1 1 -2
2.557  35.1  73  3 1 -2
2.492  36.0  32  4 0 -1
2.332  38.6  100  3 1 0
2.239  40.3  31  4 0 -3
2.159  41.8  57  0 2 0
1.555  59.5  30  4 2 -3
1.408  66.4  26  7 1 -3

(3)
Computed XRD peak list
Compound: Pu4BiSbC
Radiation: Cu Kα
Structure: a structure optimized by DFT (PBE)
Lines closer than 0.1° are merged.

Cell and atoms:
```
data_Pu4BiSbC
_chemical_formula_sum 'Pu16 Bi4 Sb4 C4'
_cell_length_a 6.7643
_cell_length_b 16.3778
_cell_length_c 6.7422
_cell_angle_alpha 90.00
_cell_angle_beta 90.00
_cell_angle_gamma 90.00
_space_group_name_H-M_alt 'C m c m'
_space_group_IT_number 63
_space_group_name_Hall '-C 2c 2'
loop_
_atom_site_label
_atom_site_type_symbol
_atom_site_fract_x
_atom_site_fract_y
_atom_site_fract_z
Pu1 Pu 0.0000 0.0883 0.2500
Pu2 Pu 0.0000 0.4011 0.2500
Pu3 Pu 0.2500 0.2500 0.0000
Bi1 Bi 0.0000 0.3963 0.7500
Sb1 Sb 0.0000 0.1109 0.7500
C1 C 0.0000 0.2397 0.2500
```

The 12 most intense peaks (2θ = 15–90°), in order of rising 2θ:
d/Å  2theta  I/Imax  h k l
3.377  26.4  10  2 0 0
3.122  28.6  70  2 2 0
2.730  32.8  30  0 6 0
2.605  34.4  100  2 4 0
2.388  37.7  55  2 0 2
1.797  50.8  36  2 6 2
1.691  54.2  10  4 0 0
1.686  54.4  10  0 0 4
1.474  63.1  21  2 10 0
1.418  65.9  16  4 4 2
1.416  66.0  16  2 4 4
1.111  87.9  9  4 10 2

(4)
Computed XRD peak list
Compound: Co3Ni9P4
Radiation: Cu Kα
Structure: a structure optimized by DFT (PBE)
Lines closer than 0.1° are merged.

Cell and atoms:
```
data_Co3Ni9P4
_chemical_formula_sum 'Co3 Ni9 P4'
_cell_length_a 4.3536
_cell_length_b 6.7058
_cell_length_c 6.7082
_cell_angle_alpha 84.21
_cell_angle_beta 71.14
_cell_angle_gamma 71.14
_space_group_name_H-M_alt 'P 1'
_space_group_IT_number 1
loop_
_space_group_symop_operation_xyz
'x,y,z'
loop_
_atom_site_label
_atom_site_type_symbol
_atom_site_fract_x
_atom_site_fract_y
_atom_site_fract_z
Co1 Co 0.0000 0.0000 0.0000
Co2 Co 0.2100 0.6410 0.9377
Co3 Co 0.5303 0.7857 0.1545
Ni1 Ni 0.2446 0.4878 0.5705
Ni2 Ni 0.2729 0.8723 0.5760
Ni3 Ni 0.3967 0.2086 0.0172
Ni4 Ni 0.5167 0.1529 0.3634
Ni5 Ni 0.6895 0.8541 0.7827
Ni6 Ni 0.8026 0.2181 0.6346
Ni7 Ni 0.8350 0.4316 0.9161
Ni8 Ni 0.8716 0.4207 0.2996
Ni9 Ni 0.9289 0.7683 0.3575
P1 P 0.0912 0.0575 0.3014
P2 P 0.2899 0.1556 0.7289
P3 P 0.3892 0.4853 0.2062
P4 P 0.6613 0.5823 0.6334
```

The 12 most intense peaks (2θ = 15–90°), in order of rising 2θ:
d/Å  2theta  I/Imax  h k l
2.468  36.4  19  1 2 -1
2.161  41.8  100  1 0 -2
2.158  41.9  12  1 3 1
2.116  42.7  26  0 0 3
2.059  44.0  60  2 1 2
2.009  45.1  20  0 3 -1
2.005  45.2  19  0 1 3
1.959  46.4  13  2 2 0
1.950  46.6  49  1 -1 3
1.944  46.7  50  1 3 2
1.795  50.9  19  2 -1 1
1.728  53.0  24  2 3 0

(5)
Computed XRD peak list
Compound: CePm3O6
Radiation: Cu Kα
Structure: a structure optimized by DFT (PBE)
Lines closer than 0.1° are merged.

Cell and atoms:
```
data_CePm3O6
_chemical_formula_sum 'Ce6 Pm18 O36'
_cell_length_a 10.0276
_cell_length_b 10.0276
_cell_length_c 11.8124
_cell_angle_alpha 90.00
_cell_angle_beta 90.00
_cell_angle_gamma 120.00
_space_group_name_H-M_alt 'R -3'
_space_group_IT_number 148
_space_group_name_Hall '-R 3'
loop_
_atom_site_label
_atom_site_type_symbol
_atom_site_fract_x
_atom_site_fract_y
_atom_site_fract_z
Ce1 Ce 0.0000 0.0000 0.0000
Ce2 Ce 0.0000 0.0000 0.5000
Pm1 Pm 0.0372 0.2646 0.2116
O1 O 0.0284 0.1872 0.8691
O2 O 0.0279 0.2221 0.4049
```

The 12 most intense peaks (2θ = 15–90°), in order of rising 2θ:
d/Å  2theta  I/Imax  h k l
3.937  22.6  35  0 0 3
3.498  25.5  40  2 0 2
3.162  28.2  100  2 1 1
3.097  28.8  47  1 1 3
2.895  30.9  19  3 0 0
2.869  31.2  79  3 -2 2
2.230  40.4  19  3 1 2
2.195  41.1  29  2 1 4
1.965  46.2  18  3 2 1
1.895  48.0  38  1 4 0
1.866  48.8  18  1 3 4
1.833  49.8  27  2 -1 6

(6)
Computed XRD peak list
Compound: BaZn4Ag4
Radiation: Cu Kα
Structure: a structure optimized by DFT (PBE)
Lines closer than 0.1° are merged.

Cell and atoms:
```
data_BaZn4Ag4
_chemical_formula_sum 'Ba2 Zn8 Ag8'
_cell_length_a 9.4001
_cell_length_b 9.4001
_cell_length_c 4.4894
_cell_angle_alpha 90.00
_cell_angle_beta 90.00
_cell_angle_gamma 90.00
_space_group_name_H-M_alt 'I 4/m'
_space_group_IT_number 87
_space_group_name_Hall '-I 4'
loop_
_atom_site_label
_atom_site_type_symbol
_atom_site_fract_x
_atom_site_fract_y
_atom_site_fract_z
Ba1 Ba 0.0000 0.0000 0.0000
Zn1 Zn 0.1710 0.2690 0.5000
Ag1 Ag 0.0868 0.6218 0.5000
```

The 12 most intense peaks (2θ = 15–90°), in order of rising 2θ:
d/Å  2theta  I/Imax  h k l
3.323  26.8  26  2 2 0
3.069  29.1  76  1 2 1
2.973  30.1  45  1 3 0
2.255  40.0  100  2 3 1
2.245  40.2  39  0 0 2
2.033  44.6  40  1 4 1
1.844  49.4  30  5 1 0
1.791  51.0  20  1 3 2
1.734  52.8  24  3 4 1
1.425  65.5  24  5 1 2
1.298  72.9  16  2 3 3
1.127  86.3  13  4 6 2

Copy entry 3 word for word.
Computed XRD peak list
Compound: Pu4BiSbC
Radiation: Cu Kα
Structure: a structure optimized by DFT (PBE)
Lines closer than 0.1° are merged.

Cell and atoms:
```
data_Pu4BiSbC
_chemical_formula_sum 'Pu16 Bi4 Sb4 C4'
_cell_length_a 6.7643
_cell_length_b 16.3778
_cell_length_c 6.7422
_cell_angle_alpha 90.00
_cell_angle_beta 90.00
_cell_angle_gamma 90.00
_space_group_name_H-M_alt 'C m c m'
_space_group_IT_number 63
_space_group_name_Hall '-C 2c 2'
loop_
_atom_site_label
_atom_site_type_symbol
_atom_site_fract_x
_atom_site_fract_y
_atom_site_fract_z
Pu1 Pu 0.0000 0.0883 0.2500
Pu2 Pu 0.0000 0.4011 0.2500
Pu3 Pu 0.2500 0.2500 0.0000
Bi1 Bi 0.0000 0.3963 0.7500
Sb1 Sb 0.0000 0.1109 0.7500
C1 C 0.0000 0.2397 0.2500
```

The 12 most intense peaks (2θ = 15–90°), in order of rising 2θ:
d/Å  2theta  I/Imax  h k l
3.377  26.4  10  2 0 0
3.122  28.6  70  2 2 0
2.730  32.8  30  0 6 0
2.605  34.4  100  2 4 0
2.388  37.7  55  2 0 2
1.797  50.8  36  2 6 2
1.691  54.2  10  4 0 0
1.686  54.4  10  0 0 4
1.474  63.1  21  2 10 0
1.418  65.9  16  4 4 2
1.416  66.0  16  2 4 4
1.111  87.9  9  4 10 2